Record 1
Starting from the GGA-PBE geometry in Alexandria, the X-ray powder pattern of BiRh4Pb3 was computed for Cu Kα (λ = 1.5418 Å).

Cell and atoms:
Cell lengths 6.566, 6.566, 6.566 Å; angles 131.48, 85.20, 114.92 degrees
Sites, in units of the cell vectors:
Bi (0.000, 0.000, 0.000)
Rh (0.372, 0.109, 0.263)
Rh (0.671, 0.414, 0.743)
Rh (0.671, 0.927, 0.257)
Rh (0.846, 0.109, 0.737)
Pb (0.266, 0.492, 0.774)
Pb (0.316, 0.816, 0.500)
Pb (0.718, 0.492, 0.226)

Principal peaks in the range 2θ from 10° to 90°, by angle:
| 2θ (°) | I_rel |
| --- | --- |
| 27.8 | 100 |
| 31.4 | 24 |
| 31.7 | 34 |
| 33.2 | 28 |
| 36.9 | 20 |
| 37.2 | 42 |
| 42.2 | 19 |
| 45.7 | 25 |
| 46.1 | 18 |
| 46.3 | 20 |

***

Record 2
Starting from the GGA-PBE geometry in Alexandria, the X-ray powder pattern of Sr2BiRhPb was computed for Cu Kα (λ = 1.5418 Å).

Cell and atoms:
Cell lengths 5.701, 5.701, 5.201 Å; angles 90.00, 90.00, 90.00 degrees
Sites, in units of the cell vectors:
Sr (0.000, 0.500, 0.000)
Sr (0.500, 0.000, 0.000)
Bi (0.000, 0.000, 0.500)
Rh (0.500, 0.500, 0.000)
Pb (0.500, 0.500, 0.500)

Principal peaks in the range 2θ from 10° to 90°, by angle:
| 2θ (°) | I_rel |
| --- | --- |
| 22.1 | 44 |
| 28.0 | 100 |
| 31.4 | 78 |
| 34.5 | 30 |
| 45.0 | 29 |
| 47.3 | 50 |
| 53.8 | 34 |
| 57.9 | 41 |
| 76.2 | 25 |
| 84.7 | 20 |

***

Record 3
Starting from the GGA-PBE geometry in Alexandria, the X-ray powder pattern of BiPbS4 was computed for Cu Kα (λ = 1.5418 Å).

Cell and atoms:
Cell lengths 6.145, 6.145, 9.321 Å; angles 90.00, 90.00, 82.80 degrees
Sites, in units of the cell vectors:
Bi (0.033, 0.967, 0.750)
Bi (0.967, 0.033, 0.250)
Pb (0.428, 0.572, 0.250)
Pb (0.572, 0.428, 0.750)
S (0.171, 0.387, 0.750)
S (0.203, 0.797, 0.052)
S (0.203, 0.797, 0.448)
S (0.387, 0.171, 0.250)
S (0.613, 0.829, 0.750)
S (0.797, 0.203, 0.552)
S (0.797, 0.203, 0.948)
S (0.829, 0.613, 0.250)

Principal peaks in the range 2θ from 10° to 90°, by angle:
| 2θ (°) | I_rel |
| --- | --- |
| 19.0 | 100 |
| 19.3 | 93 |
| 21.9 | 29 |
| 27.2 | 40 |
| 29.2 | 56 |
| 30.9 | 60 |
| 35.2 | 59 |
| 41.5 | 35 |
| 49.5 | 26 |
| 50.0 | 29 |

***

Record 4
Starting from the GGA-PBE geometry in Alexandria, the X-ray powder pattern of BiPbS3 was computed for Cu Kα (λ = 1.5418 Å).

Cell and atoms:
Cell lengths 8.235, 4.218, 15.175 Å; angles 90.00, 90.00, 90.00 degrees
Sites, in units of the cell vectors:
Bi (0.197, 0.250, 0.062)
Bi (0.303, 0.750, 0.562)
Bi (0.697, 0.250, 0.438)
Bi (0.803, 0.750, 0.938)
Pb (0.052, 0.750, 0.298)
Pb (0.448, 0.250, 0.798)
Pb (0.552, 0.750, 0.202)
Pb (0.948, 0.250, 0.702)
S (0.002, 0.750, 0.108)
S (0.077, 0.250, 0.504)
S (0.179, 0.750, 0.724)
S (0.321, 0.250, 0.224)
S (0.423, 0.750, 0.004)
S (0.498, 0.250, 0.608)
S (0.502, 0.750, 0.392)
S (0.577, 0.250, 0.996)
S (0.679, 0.750, 0.776)
S (0.821, 0.250, 0.276)
S (0.923, 0.750, 0.496)
S (0.998, 0.250, 0.892)

Principal peaks in the range 2θ from 10° to 90°, by angle:
| 2θ (°) | I_rel |
| --- | --- |
| 15.9 | 45 |
| 24.4 | 93 |
| 24.6 | 52 |
| 25.9 | 65 |
| 27.5 | 64 |
| 30.9 | 100 |
| 31.4 | 60 |
| 32.6 | 77 |
| 43.2 | 67 |
| 46.1 | 49 |

***

Record 5
Starting from the GGA-PBE geometry in Alexandria, the X-ray powder pattern of BiPb2S was computed for Cu Kα (λ = 1.5418 Å).

Cell and atoms:
Cell lengths 9.232, 9.232, 9.232 Å; angles 25.12, 25.12, 25.12 degrees
Sites, in units of the cell vectors:
Bi (0.000, 0.000, 0.000)
Pb (0.248, 0.248, 0.248)
Pb (0.438, 0.438, 0.438)
S (0.831, 0.831, 0.831)

Principal peaks in the range 2θ from 10° to 90°, by angle:
| 2θ (°) | I_rel |
| --- | --- |
| 25.8 | 35 |
| 26.5 | 23 |
| 28.9 | 81 |
| 30.0 | 22 |
| 30.6 | 100 |
| 34.8 | 44 |
| 45.2 | 53 |
| 45.4 | 26 |
| 55.2 | 25 |
| 62.2 | 21 |

***

Record 6
Starting from the GGA-PBE geometry in Alexandria, the X-ray powder pattern of Tm3BiPbS was computed for Cu Kα (λ = 1.5418 Å).

Cell and atoms:
Cell lengths 9.135, 4.162, 10.122 Å; angles 90.00, 90.14, 90.00 degrees
Sites, in units of the cell vectors:
Tm (0.124, 0.250, 0.390)
Tm (0.358, 0.750, 0.650)
Tm (0.363, 0.250, 0.087)
Tm (0.637, 0.750, 0.913)
Tm (0.642, 0.250, 0.350)
Tm (0.876, 0.750, 0.610)
Bi (0.109, 0.250, 0.697)
Bi (0.891, 0.750, 0.303)
Pb (0.373, 0.750, 0.329)
Pb (0.627, 0.250, 0.671)
S (0.351, 0.750, 0.927)
S (0.649, 0.250, 0.073)

Principal peaks in the range 2θ from 10° to 90°, by angle:
| 2θ (°) | I_rel |
| --- | --- |
| 13.1 | 24 |
| 26.4 | 51 |
| 29.0 | 80 |
| 30.4 | 100 |
| 34.1 | 35 |
| 34.2 | 40 |
| 39.5 | 39 |
| 39.6 | 76 |
| 43.5 | 37 |
| 60.2 | 23 |

***

Record 7
Starting from the GGA-PBE geometry in Alexandria, the X-ray powder pattern of Bi3SbPb8 was computed for Cu Kα (λ = 1.5418 Å).

Cell and atoms:
Cell lengths 7.129, 7.129, 8.062 Å; angles 100.55, 100.55, 101.13 degrees
Sites, in units of the cell vectors:
Bi (0.000, 0.000, 0.000)
Bi (0.349, 0.862, 0.411)
Bi (0.862, 0.349, 0.411)
Sb (0.499, 0.499, 0.998)
Pb (0.018, 0.527, 0.076)
Pb (0.172, 0.172, 0.683)
Pb (0.189, 0.682, 0.734)
Pb (0.343, 0.343, 0.327)
Pb (0.527, 0.018, 0.076)
Pb (0.669, 0.669, 0.681)
Pb (0.682, 0.189, 0.734)
Pb (0.821, 0.821, 0.335)

Principal peaks in the range 2θ from 10° to 90°, by angle:
| 2θ (°) | I_rel |
| --- | --- |
| 30.8 | 100 |
| 31.0 | 96 |
| 32.5 | 48 |
| 34.9 | 25 |
| 38.6 | 23 |
| 39.8 | 28 |
| 48.4 | 20 |
| 52.3 | 25 |
| 56.9 | 26 |
| 57.1 | 18 |

***

Record 8
Starting from the GGA-PBE geometry in Alexandria, the X-ray powder pattern of BiSb2Pb2 was computed for Cu Kα (λ = 1.5418 Å).

Cell and atoms:
Cell lengths 5.232, 3.373, 8.989 Å; angles 90.00, 106.14, 90.00 degrees
Sites, in units of the cell vectors:
Bi (0.000, 0.000, 0.000)
Sb (0.196, 0.000, 0.393)
Sb (0.804, 0.000, 0.607)
Pb (0.393, 0.500, 0.789)
Pb (0.607, 0.500, 0.211)

Principal peaks in the range 2θ from 10° to 90°, by angle:
| 2θ (°) | I_rel |
| --- | --- |
| 30.8 | 54 |
| 31.2 | 52 |
| 32.0 | 100 |
| 33.7 | 46 |
| 34.3 | 41 |
| 41.2 | 23 |
| 48.6 | 17 |
| 49.1 | 16 |
| 54.4 | 22 |
| 63.8 | 14 |

***

Record 9
Starting from the GGA-PBE geometry in Alexandria, the X-ray powder pattern of Bi2SbPb3 was computed for Cu Kα (λ = 1.5418 Å).

Cell and atoms:
Cell lengths 20.295, 4.340, 9.106 Å; angles 90.00, 90.00, 90.00 degrees
Sites, in units of the cell vectors:
Bi (0.050, 0.250, 0.094)
Bi (0.123, 0.750, 0.619)
Bi (0.377, 0.250, 0.119)
Bi (0.450, 0.750, 0.594)
Bi (0.550, 0.250, 0.406)
Bi (0.623, 0.750, 0.881)
Bi (0.877, 0.250, 0.381)
Bi (0.950, 0.750, 0.906)
Sb (0.225, 0.250, 0.757)
Sb (0.275, 0.750, 0.257)
Sb (0.725, 0.250, 0.743)
Sb (0.775, 0.750, 0.243)
Pb (0.007, 0.750, 0.344)
Pb (0.163, 0.250, 0.355)
Pb (0.167, 0.750, 0.003)
Pb (0.333, 0.250, 0.503)
Pb (0.337, 0.750, 0.855)
Pb (0.493, 0.250, 0.844)
Pb (0.507, 0.750, 0.156)
Pb (0.663, 0.250, 0.145)
Pb (0.667, 0.750, 0.497)
Pb (0.833, 0.250, 0.997)
Pb (0.837, 0.750, 0.645)
Pb (0.993, 0.250, 0.656)

Principal peaks in the range 2θ from 10° to 90°, by angle:
| 2θ (°) | I_rel |
| --- | --- |
| 26.3 | 53 |
| 28.8 | 68 |
| 29.8 | 41 |
| 31.4 | 100 |
| 31.7 | 36 |
| 32.4 | 19 |
| 33.6 | 46 |
| 36.1 | 32 |
| 41.6 | 37 |
| 52.0 | 20 |

***

Record 10
Starting from the GGA-PBE geometry in Alexandria, the X-ray powder pattern of Bi2Sb2Pb7 was computed for Cu Kα (λ = 1.5418 Å).

Cell and atoms:
Cell lengths 9.386, 9.386, 9.386 Å; angles 151.60, 79.96, 107.14 degrees
Sites, in units of the cell vectors:
Bi (0.000, 0.000, 0.000)
Bi (0.592, 0.092, 0.500)
Sb (0.038, 0.762, 0.276)
Sb (0.487, 0.762, 0.724)
Pb (0.213, 0.713, 0.500)
Pb (0.292, 0.065, 0.227)
Pb (0.318, 0.434, 0.885)
Pb (0.549, 0.434, 0.115)
Pb (0.714, 0.338, 0.376)
Pb (0.838, 0.065, 0.773)
Pb (0.962, 0.338, 0.624)

Principal peaks in the range 2θ from 10° to 90°, by angle:
| 2θ (°) | I_rel |
| --- | --- |
| 25.9 | 51 |
| 29.6 | 44 |
| 30.9 | 70 |
| 31.4 | 17 |
| 32.6 | 100 |
| 39.1 | 34 |
| 41.0 | 24 |
| 49.8 | 22 |
| 57.9 | 18 |
| 65.9 | 21 |

***

Record 11
Starting from the GGA-PBE geometry in Alexandria, the X-ray powder pattern of Bi3SbPb3 was computed for Cu Kα (λ = 1.5418 Å).

Cell and atoms:
Cell lengths 9.365, 9.365, 5.740 Å; angles 90.00, 90.00, 120.00 degrees
Sites, in units of the cell vectors:
Bi (0.044, 0.240, 0.250)
Bi (0.196, 0.956, 0.250)
Bi (0.240, 0.196, 0.750)
Bi (0.760, 0.804, 0.250)
Bi (0.804, 0.044, 0.750)
Bi (0.956, 0.760, 0.750)
Sb (0.333, 0.667, 0.250)
Sb (0.667, 0.333, 0.750)
Pb (0.091, 0.477, 0.750)
Pb (0.386, 0.909, 0.750)
Pb (0.477, 0.386, 0.250)
Pb (0.523, 0.614, 0.750)
Pb (0.614, 0.091, 0.250)
Pb (0.909, 0.523, 0.250)

Principal peaks in the range 2θ from 10° to 90°, by angle:
| 2θ (°) | I_rel |
| --- | --- |
| 29.1 | 23 |
| 31.2 | 26 |
| 33.1 | 100 |
| 43.2 | 17 |
| 51.6 | 20 |
| 56.7 | 22 |
| 61.6 | 23 |
| 62.7 | 16 |
| 85.5 | 15 |
| 87.5 | 9 |

***

Record 12
Starting from the GGA-PBE geometry in Alexandria, the X-ray powder pattern of Bi4Sb2Pb was computed for Cu Kα (λ = 1.5418 Å).

Cell and atoms:
Cell lengths 19.517, 19.517, 3.297 Å; angles 90.00, 90.00, 170.01 degrees
Sites, in units of the cell vectors:
Bi (0.071, 0.929, 0.000)
Bi (0.355, 0.645, 0.500)
Bi (0.645, 0.355, 0.500)
Bi (0.929, 0.071, 0.000)
Sb (0.217, 0.783, 0.000)
Sb (0.783, 0.217, 0.000)
Pb (0.500, 0.500, 0.500)

Principal peaks in the range 2θ from 10° to 90°, by angle:
| 2θ (°) | I_rel |
| --- | --- |
| 30.4 | 56 |
| 30.8 | 100 |
| 32.2 | 44 |
| 32.8 | 36 |
| 38.1 | 55 |
| 49.1 | 34 |
| 52.3 | 17 |
| 56.6 | 18 |
| 63.2 | 15 |
| 65.1 | 24 |

***

Record 13
Starting from the GGA-PBE geometry in Alexandria, the X-ray powder pattern of Bi9Sb4Pb11 was computed for Cu Kα (λ = 1.5418 Å).

Cell and atoms:
Cell lengths 7.281, 10.746, 11.270 Å; angles 105.22, 106.97, 94.12 degrees
Sites, in units of the cell vectors:
Bi (0.000, 0.000, 0.000)
Bi (0.132, 0.136, 0.628)
Bi (0.227, 0.250, 0.410)
Bi (0.346, 0.397, 0.856)
Bi (0.477, 0.559, 0.669)
Bi (0.523, 0.441, 0.331)
Bi (0.654, 0.603, 0.144)
Bi (0.773, 0.750, 0.590)
Bi (0.868, 0.864, 0.372)
Sb (0.215, 0.940, 0.272)
Sb (0.254, 0.275, 0.062)
Sb (0.746, 0.725, 0.938)
Sb (0.785, 0.060, 0.728)
Pb (0.000, 0.500, 0.500)
Pb (0.149, 0.618, 0.294)
Pb (0.157, 0.642, 0.008)
Pb (0.208, 0.782, 0.792)
Pb (0.358, 0.880, 0.563)
Pb (0.470, 0.090, 0.889)
Pb (0.530, 0.910, 0.111)
Pb (0.642, 0.120, 0.437)
Pb (0.792, 0.218, 0.208)
Pb (0.843, 0.358, 0.992)
Pb (0.851, 0.382, 0.706)

Principal peaks in the range 2θ from 10° to 90°, by angle:
| 2θ (°) | I_rel |
| --- | --- |
| 27.1 | 94 |
| 28.6 | 56 |
| 28.9 | 100 |
| 29.7 | 45 |
| 29.9 | 74 |
| 32.0 | 38 |
| 32.1 | 39 |
| 33.0 | 40 |
| 33.1 | 68 |
| 40.3 | 42 |